No. 1
For Ce2Ga3Ni4, a GGA-PBE-relaxed structure gives the theoretical X-ray powder pattern in this record (CuKα).
Neutral-atom scattering factors, no anomalous dispersion.

Structure:
```
data_Ce2Ga3Ni4
_chemical_formula_sum 'Ce8 Ga12 Ni16'
_symmetry_space_group_name_H-M 'C m c e'
_symmetry_Int_Tables_number 64
_symmetry_space_group_name_Hall '-C 2ac 2'
_cell_length_a 5.6086
_cell_length_b 15.4359
_cell_length_c 6.7309
_cell_angle_alpha 90.00
_cell_angle_beta 90.00
_cell_angle_gamma 90.00
loop_
_atom_site_label
_atom_site_fract_x
_atom_site_fract_y
_atom_site_fract_z
_atom_site_occupancy
Ce1 0.0000 0.1061 0.0786 1
Ga1 0.0000 0.0000 0.5000 1
Ga2 0.2500 0.2360 0.7500 1
Ni1 0.0000 0.1668 0.4839 1
Ni2 0.2500 0.0744 0.7500 1
```

Peak list (10 most intense, 10 to 80 degrees two-theta, low angle first)
2theta, I (rel.)
35.39, 13
35.67, 23
35.78, 73
36.62, 35
39.73, 22
41.94, 100
44.32, 17
59.39, 22
66.70, 14
75.55, 14

***

No. 2
For Ho5Ga3, a GGA-PBE-relaxed structure gives the theoretical X-ray powder pattern in this record (CuKα).
Neutral-atom scattering factors, no anomalous dispersion.

Structure:
```
data_Ho5Ga3
_chemical_formula_sum 'Ho20 Ga12'
_symmetry_space_group_name_H-M 'P 4/n c c'
_symmetry_Int_Tables_number 130
_cell_length_a 7.5787
_cell_length_b 7.5787
_cell_length_c 14.1300
_cell_angle_alpha 90.00
_cell_angle_beta 90.00
_cell_angle_gamma 90.00
loop_
_symmetry_equiv_pos_as_xyz
'x,y,z'
'-x,-y,-z'
'-y+1/2,x,z'
'y+1/2,-x,-z'
'-x+1/2,-y+1/2,z'
'x+1/2,y+1/2,-z'
'y,-x+1/2,z'
'-y,x+1/2,-z'
'x+1/2,-y,-z+1/2'
'-x+1/2,y,z+1/2'
'-y,-x,-z+1/2'
'y,x,z+1/2'
'-x,y+1/2,-z+1/2'
'x,-y+1/2,z+1/2'
'y+1/2,x+1/2,-z+1/2'
'-y+1/2,-x+1/2,z+1/2'
loop_
_atom_site_label
_atom_site_fract_x
_atom_site_fract_y
_atom_site_fract_z
_atom_site_occupancy
Ho1 0.0687 0.5938 0.1028 1
Ho2 0.2500 0.2500 0.2300 1
Ga1 0.1269 0.6269 0.7500 1
Ga2 0.2500 0.2500 0.0068 1
```

Peak list (10 most intense, 10 to 80 degrees two-theta, low angle first)
2theta, I (rel.)
27.05, 18
30.30, 14
32.55, 100
33.44, 12
34.72, 35
37.53, 43
38.22, 12
52.79, 13
53.52, 16
57.84, 15

***

No. 3
For In3Ga3Pb, a GGA-PBE-relaxed structure gives the theoretical X-ray powder pattern in this record (CuKα).
Neutral-atom scattering factors, no anomalous dispersion.

Structure:
```
data_In3Ga3Pb
_chemical_formula_sum 'In18 Ga18 Pb6'
_symmetry_space_group_name_H-M 'R -3'
_symmetry_Int_Tables_number 148
_symmetry_space_group_name_Hall '-R 3'
_cell_length_a 8.9471
_cell_length_b 8.9471
_cell_length_c 15.2432
_cell_angle_alpha 90.00
_cell_angle_beta 90.00
_cell_angle_gamma 120.00
loop_
_atom_site_label
_atom_site_fract_x
_atom_site_fract_y
_atom_site_fract_z
_atom_site_occupancy
In1 0.0769 0.2432 0.1936 1
Ga1 0.0196 0.6033 0.6486 1
Pb1 0.0000 0.0000 0.3931 1
```

Peak list (10 most intense, 10 to 80 degrees two-theta, low angle first)
2theta, I (rel.)
12.82, 27
31.10, 100
31.54, 53
32.76, 62
32.97, 85
38.78, 15
39.12, 40
40.85, 32
43.77, 15
60.27, 18